# AcCeAlTl
Theoretical powder XRD pattern, CuKα. Input: a cell relaxed with PBE.

Top 10 peaks for 2θ from 15° to 90°, low angle first:
h k l  2theta  I_rel
1 1 1  19.52  23
2 0 0  22.57  6
2 2 0  32.14  100
3 1 1  37.88  14
4 0 0  46.09  19
3 3 1  50.50  6
4 2 2  57.30  39
5 1 1  61.13  5
4 4 0  67.23  12
6 2 0  76.48  17

Atomic structure:
abc: 7.878 7.878 7.878
angles: 90.00 90.00 90.00
Space group F-43m (No. 216)
Asymmetric unit:
Ac: 0.000 0.000 0.000 [4 per cell]
Ce: 0.000 0.000 0.500 [4 per cell]
Al: 0.250 0.250 0.250 [4 per cell]
Tl: 0.250 0.250 0.750 [4 per cell]



# AcAlCl6
Theoretical powder XRD pattern, CuKα. Input: a cell relaxed with PBE.

Top 10 peaks for 2θ from 15° to 90°, low angle first:
h k l  2theta  I_rel
1 1 0  15.58  43
1 1 -1  18.51  100
0 2 1  20.44  34
1 1 1  23.38  45
1 3 0  26.14  32
2 2 -1  31.44  34
1 3 1  31.54  67
2 0 -2  34.35  44
2 4 -1  40.99  28
1 3 -3  47.81  32

Atomic structure:
abc: 6.681 12.045 6.495
angles: 90.00 105.01 90.00
Space group C2/m (No. 12)
Asymmetric unit:
Ac: 0.000 0.000 0.000 [2 per cell]
Al: 0.000 0.500 0.500 [2 per cell]
Cl: 0.193 0.360 0.715 [8 per cell]
Cl: 0.239 0.500 0.287 [4 per cell]



# AcAl5Co2
Theoretical powder XRD pattern, CuKα. Input: a cell relaxed with PBE.

Top 10 peaks for 2θ from 15° to 90°, low angle first:
h k l  2theta  I_rel
0 1 1  15.35  73
1 0 1  23.78  47
0 2 0  24.95  44
0 1 3  30.07  47
1 1 2  31.28  100
1 2 1  34.74  78
1 0 3  35.29  42
2 0 0  44.82  59
1 3 2  48.08  49
1 2 5  58.33  23

Atomic structure:
abc: 4.048 7.139 9.806
angles: 90.00 90.00 90.00
Space group Immm (No. 71)
Asymmetric unit:
Ac: 0.000 0.000 0.000 [2 per cell]
Al: 0.000 0.187 0.334 [8 per cell]
Al: 0.000 0.500 0.000 [2 per cell]
Co: 0.000 0.500 0.234 [4 per cell]



# Cs2AcAlO4
Theoretical powder XRD pattern, CuKα. Input: a cell relaxed with PBE.

Top 10 peaks for 2θ from 15° to 90°, low angle first:
h k l  2theta  I_rel
1 1 1  16.57  89
1 1 5  23.61  100
0 2 6  24.74  93
1 3 1  25.67  45
0 4 0  27.66  46
1 3 5  30.78  80
2 2 0  32.77  63
2 0 6  36.27  31
0 2 10  37.26  39
2 4 6  46.24  47

Atomic structure:
abc: 6.034 12.900 26.023
angles: 90.00 90.00 90.00
Space group Fddd (No. 70, origin choice 2)
Asymmetric unit:
Cs: 0.125 0.125 0.317 [16 per cell]
Ac: 0.125 0.125 0.125 [8 per cell]
Al: 0.125 0.125 0.625 [8 per cell]
O: 0.064 0.290 0.841 [32 per cell]